[1]
For PrDy2Pb3, a DFT-relaxed cell (GGA-PBE, Alexandria) gives the simulated X-ray powder pattern in this record (Cu Kα (weighted mean of Kα1 and Kα2)).

Principal peaks in the range 10° ≤ 2θ ≤ 80°, in order of falling intensity:
- 2θ = 31.89°, intensity 100
- 2θ = 39.25°, intensity 29
- 2θ = 32.03°, intensity 25
- 2θ = 66.55°, intensity 25
- 2θ = 56.97°, intensity 15
- 2θ = 51.59°, intensity 13
- 2θ = 51.48°, intensity 13
- 2θ = 66.63°, intensity 9
- 2θ = 56.67°, intensity 5
- 2θ = 57.10°, intensity 5
- 2θ = 56.78°, intensity 5
- 2θ = 66.99°, intensity 3

Structural model:
```
PrDy2Pb3
1.0
8.573 -3.249 0.000
8.573 3.249 0.000
-1.195 0.000 6.341
Pr Dy Pb
2 4 6
Direct
0.124 0.876 0.750
0.876 0.124 0.250
0.210 0.458 0.922
0.458 0.210 0.422
0.542 0.790 0.578
0.790 0.542 0.078
0.046 0.296 0.586
0.296 0.046 0.086
0.378 0.622 0.250
0.622 0.378 0.750
0.704 0.954 0.914
0.954 0.704 0.414
```

[2]
For Pr5DyPb5, a DFT-relaxed cell (GGA-PBE, Alexandria) gives the simulated X-ray powder pattern in this record (Cu Kα (weighted mean of Kα1 and Kα2)).

Principal peaks in the range 10° ≤ 2θ ≤ 80°, in order of falling intensity:
- 2θ = 27.71°, intensity 100
- 2θ = 27.93°, intensity 49
- 2θ = 39.60°, intensity 39
- 2θ = 39.74°, intensity 39
- 2θ = 47.80°, intensity 23
- 2θ = 38.16°, intensity 22
- 2θ = 50.48°, intensity 19
- 2θ = 64.81°, intensity 18
- 2θ = 41.33°, intensity 17
- 2θ = 64.72°, intensity 9
- 2θ = 65.19°, intensity 9
- 2θ = 70.13°, intensity 7

Structural model:
```
Pr5DyPb5
1.0
7.418 -3.222 0.000
7.418 3.222 0.000
-2.629 0.000 8.333
Pr Dy Pb
5 1 5
Direct
0.000 0.000 0.000
0.330 0.330 0.167
0.336 0.336 0.673
0.664 0.664 0.327
0.670 0.670 0.833
0.000 0.000 0.500
0.163 0.163 0.338
0.163 0.163 0.830
0.500 0.500 0.500
0.837 0.837 0.170
0.837 0.837 0.662
```

[3]
For Dy4PtPb, a DFT-relaxed cell (GGA-PBE, Alexandria) gives the simulated X-ray powder pattern in this record (Cu Kα (weighted mean of Kα1 and Kα2)).

Principal peaks in the range 10° ≤ 2θ ≤ 80°, in order of falling intensity:
- 2θ = 34.77°, intensity 100
- 2θ = 30.39°, intensity 88
- 2θ = 35.18°, intensity 68
- 2θ = 38.56°, intensity 57
- 2θ = 34.95°, intensity 53
- 2θ = 30.88°, intensity 50
- 2θ = 13.10°, intensity 41
- 2θ = 29.61°, intensity 41
- 2θ = 40.20°, intensity 39
- 2θ = 33.75°, intensity 37
- 2θ = 34.56°, intensity 32
- 2θ = 51.94°, intensity 28

Structural model:
```
Dy4PtPb
1.0
4.530 -6.758 0.000
4.530 6.758 0.000
-2.653 0.000 5.622
Dy Pt Pb
8 2 2
Direct
0.059 0.715 0.927
0.211 0.356 0.671
0.285 0.941 0.573
0.356 0.211 0.171
0.644 0.789 0.829
0.715 0.059 0.427
0.789 0.644 0.329
0.941 0.285 0.073
0.001 0.999 0.250
0.999 0.001 0.750
0.372 0.628 0.250
0.628 0.372 0.750
```

[4]
For DyPu2Pb2, a DFT-relaxed cell (GGA-PBE, Alexandria) gives the simulated X-ray powder pattern in this record (Cu Kα (weighted mean of Kα1 and Kα2)).

Principal peaks in the range 10° ≤ 2θ ≤ 80°, in order of falling intensity:
- 2θ = 31.72°, intensity 100
- 2θ = 36.85°, intensity 62
- 2θ = 34.35°, intensity 56
- 2θ = 56.47°, intensity 39
- 2θ = 29.88°, intensity 32
- 2θ = 63.22°, intensity 29
- 2θ = 37.49°, intensity 27
- 2θ = 64.24°, intensity 19
- 2θ = 26.91°, intensity 17
- 2θ = 38.40°, intensity 14
- 2θ = 52.49°, intensity 13
- 2θ = 53.13°, intensity 13

Structural model:
```
DyPu2Pb2
1.0
1.743 -11.995 0.000
1.743 11.995 0.000
0.000 0.000 3.448
Dy Pu Pb
1 2 2
Direct
0.000 0.000 0.000
0.190 0.810 0.000
0.810 0.190 0.000
0.406 0.594 0.500
0.594 0.406 0.500
```

[5]
For Dy4Rh2Pb, a DFT-relaxed cell (GGA-PBE, Alexandria) gives the simulated X-ray powder pattern in this record (Cu Kα (weighted mean of Kα1 and Kα2)).

Principal peaks in the range 10° ≤ 2θ ≤ 80°, in order of falling intensity:
- 2θ = 32.87°, intensity 100
- 2θ = 36.01°, intensity 42
- 2θ = 32.23°, intensity 39
- 2θ = 31.95°, intensity 38
- 2θ = 32.65°, intensity 36
- 2θ = 34.78°, intensity 31
- 2θ = 40.47°, intensity 26
- 2θ = 28.99°, intensity 22
- 2θ = 44.69°, intensity 21
- 2θ = 28.73°, intensity 16
- 2θ = 27.27°, intensity 14
- 2θ = 43.04°, intensity 14

Structural model:
```
Dy4Rh2Pb
1.0
4.308 -7.436 0.000
4.308 7.436 0.000
-4.213 0.000 5.500
Dy Rh Pb
8 4 2
Direct
0.009 0.991 0.500
0.043 0.457 0.306
0.315 0.888 0.188
0.448 0.608 0.867
0.457 0.043 0.806
0.608 0.448 0.367
0.888 0.315 0.688
0.991 0.009 0.000
0.057 0.717 0.702
0.228 0.378 0.018
0.378 0.228 0.518
0.717 0.057 0.202
0.557 0.791 0.497
0.791 0.557 0.997
```

[6]
For Dy3Rh4Pb2, a DFT-relaxed cell (GGA-PBE, Alexandria) gives the simulated X-ray powder pattern in this record (Cu Kα (weighted mean of Kα1 and Kα2)).

Principal peaks in the range 10° ≤ 2θ ≤ 80°, in order of falling intensity:
- 2θ = 33.54°, intensity 100
- 2θ = 35.21°, intensity 92
- 2θ = 35.50°, intensity 85
- 2θ = 43.04°, intensity 61
- 2θ = 28.55°, intensity 56
- 2θ = 42.79°, intensity 56
- 2θ = 37.80°, intensity 45
- 2θ = 34.30°, intensity 32
- 2θ = 32.67°, intensity 27
- 2θ = 69.68°, intensity 27
- 2θ = 51.42°, intensity 26
- 2θ = 59.06°, intensity 22

Structural model:
```
Dy3Rh4Pb2
1.0
6.712 -5.343 0.000
6.712 5.343 0.000
-1.188 0.000 5.545
Dy Rh Pb
6 8 4
Direct
0.124 0.876 0.750
0.287 0.503 0.373
0.497 0.713 0.127
0.503 0.287 0.873
0.713 0.497 0.627
0.876 0.124 0.250
0.061 0.342 0.472
0.237 0.562 0.861
0.342 0.061 0.972
0.438 0.763 0.639
0.562 0.237 0.361
0.658 0.939 0.028
0.763 0.438 0.139
0.939 0.658 0.528
0.061 0.301 0.938
0.301 0.061 0.438
0.699 0.939 0.562
0.939 0.699 0.062
```

What did the third record say?
For Dy4PtPb, a DFT-relaxed cell (GGA-PBE, Alexandria) gives the simulated X-ray powder pattern in this record (Cu Kα (weighted mean of Kα1 and Kα2)).

Principal peaks in the range 10° ≤ 2θ ≤ 80°, in order of falling intensity:
- 2θ = 34.77°, intensity 100
- 2θ = 30.39°, intensity 88
- 2θ = 35.18°, intensity 68
- 2θ = 38.56°, intensity 57
- 2θ = 34.95°, intensity 53
- 2θ = 30.88°, intensity 50
- 2θ = 13.10°, intensity 41
- 2θ = 29.61°, intensity 41
- 2θ = 40.20°, intensity 39
- 2θ = 33.75°, intensity 37
- 2θ = 34.56°, intensity 32
- 2θ = 51.94°, intensity 28

Structural model:
```
Dy4PtPb
1.0
4.530 -6.758 0.000
4.530 6.758 0.000
-2.653 0.000 5.622
Dy Pt Pb
8 2 2
Direct
0.059 0.715 0.927
0.211 0.356 0.671
0.285 0.941 0.573
0.356 0.211 0.171
0.644 0.789 0.829
0.715 0.059 0.427
0.789 0.644 0.329
0.941 0.285 0.073
0.001 0.999 0.250
0.999 0.001 0.750
0.372 0.628 0.250
0.628 0.372 0.750
```